# 1
Structure and calculated PXRD pattern of Li2VFeO4 (a PBE+U-relaxed structure; Cu Kα, 1.54184 Å).
Peak positions follow from Bragg's law for the DFT cell and can differ from measured ones.

Main lines, low angle first (2θ = 10–90°):
2θ = 18.1°, intensity 100
2θ = 42.5°, intensity 29
2θ = 42.7°, intensity 28
2θ = 42.9°, intensity 28
2θ = 61.9°, intensity 15
2θ = 62.0°, intensity 15

Cell and atoms:
a = 5.1798 Å, b = 6.0088 Å, c = 7.8883 Å
α = 79.24°, β = 71.22°, γ = 89.91°
Positions (direct):
Li 0.9996 0.0803 0.1670
Li 0.9997 0.4103 0.8330
Li 0.0003 0.5897 0.1670
Li 0.0004 0.9197 0.8330
Li 0.0017 0.7545 0.4966
Li 0.9983 0.2455 0.5034
V 0.4994 0.3360 0.1666
V 0.5000 0.5000 0.5000
V 0.5006 0.6640 0.8334
Fe 0.4985 0.1634 0.8334
Fe 0.5000 0.0000 0.5000
Fe 0.5015 0.8366 0.1666
O 0.2691 0.2047 0.6634
O 0.2714 0.0449 0.3283
O 0.2713 0.3756 0.9950
O 0.2715 0.8765 0.9957
O 0.2719 0.5474 0.3287
O 0.2732 0.7088 0.6607
O 0.7268 0.2912 0.3393
O 0.7281 0.4526 0.6713
O 0.7285 0.1235 0.0043
O 0.7287 0.6244 0.0050
O 0.7286 0.9551 0.6717
O 0.7309 0.7953 0.3366

# 2
Structure and calculated PXRD pattern of Li5V2Fe3O10 (a PBE+U-relaxed structure; Cu Kα, 1.54184 Å).
Peak positions follow from Bragg's law for the DFT cell and can differ from measured ones.

Main lines, low angle first (2θ = 10–90°):
2θ = 12.5°, intensity 51
2θ = 18.0°, intensity 66
2θ = 26.3°, intensity 27
2θ = 42.7°, intensity 100
2θ = 43.0°, intensity 46
2θ = 62.0°, intensity 27

Cell and atoms:
a = 5.1684 Å, b = 5.2205 Å, c = 7.8217 Å
α = 102.52°, β = 108.91°, γ = 99.76°
Positions (direct):
Li 0.0000 0.0000 0.0000
Li 0.1819 0.5010 0.9079
Li 0.3945 0.4903 0.2836
Li 0.6055 0.5097 0.7164
Li 0.8181 0.4990 0.0921
V 0.4079 0.0162 0.8189
V 0.5921 0.9838 0.1811
Fe 0.0000 0.5000 0.5000
Fe 0.1985 0.9940 0.3909
Fe 0.8015 0.0060 0.6091
O 0.0129 0.7656 0.7431
O 0.1954 0.2279 0.6479
O 0.2179 0.7669 0.1596
O 0.4064 0.2356 0.0431
O 0.4082 0.7809 0.5650
O 0.5918 0.2191 0.4350
O 0.5936 0.7644 0.9569
O 0.7821 0.2331 0.8404
O 0.8046 0.7721 0.3521
O 0.9871 0.2344 0.2569

# 3
Structure and calculated PXRD pattern of Li4V3FeO10 (a PBE+U-relaxed structure; Cu Kα, 1.54184 Å).
Peak positions follow from Bragg's law for the DFT cell and can differ from measured ones.

Main lines, low angle first (2θ = 10–90°):
2θ = 19.1°, intensity 72
2θ = 23.3°, intensity 35
2θ = 26.6°, intensity 100
2θ = 33.0°, intensity 92
2θ = 42.9°, intensity 24
2θ = 54.9°, intensity 28

Cell and atoms:
a = 6.6925 Å, b = 6.6925 Å, c = 4.6568 Å
α = 90.00°, β = 90.00°, γ = 90.00°
Positions (direct):
Li 0.2358 0.2358 0.0000
Li 0.2358 0.7642 0.0000
Li 0.7642 0.2358 0.0000
Li 0.7642 0.7642 0.0000
V 0.0000 0.5000 0.6009
V 0.5000 0.0000 0.3991
V 0.5000 0.5000 0.5000
Fe 0.0000 0.0000 0.5000
O 0.0000 0.2277 0.7427
O 0.0000 0.5000 0.2387
O 0.0000 0.7723 0.7427
O 0.2277 0.0000 0.2573
O 0.2918 0.5000 0.7245
O 0.5000 0.0000 0.7613
O 0.5000 0.2918 0.2755
O 0.5000 0.7082 0.2755
O 0.7082 0.5000 0.7245
O 0.7723 0.0000 0.2573

# 4
Structure and calculated PXRD pattern of Li3V4FeO8 (a PBE+U-relaxed structure; Cu Kα, 1.54184 Å).
Peak positions follow from Bragg's law for the DFT cell and can differ from measured ones.

Main lines, low angle first (2θ = 10–90°):
2θ = 18.0°, intensity 93
2θ = 34.9°, intensity 29
2θ = 36.4°, intensity 31
2θ = 41.6°, intensity 53
2θ = 42.5°, intensity 100
2θ = 61.1°, intensity 28

Cell and atoms:
a = 6.0657 Å, b = 6.0657 Å, c = 6.0369 Å
α = 119.54°, β = 119.54°, γ = 59.25°
Positions (direct):
Li 0.0000 0.0000 0.0000
Li 0.0000 0.5000 0.5000
Li 0.5000 0.0000 0.5000
V 0.0000 0.0000 0.5000
V 0.0000 0.5000 0.0000
V 0.5000 0.0000 0.0000
V 0.5000 0.5000 0.0000
Fe 0.5000 0.5000 0.5000
O 0.2419 0.7338 0.2243
O 0.2528 0.2528 0.7629
O 0.2587 0.2587 0.2410
O 0.2662 0.7581 0.7757
O 0.7338 0.2419 0.2243
O 0.7413 0.7413 0.7590
O 0.7472 0.7472 0.2371
O 0.7581 0.2662 0.7757

# 5
Structure and calculated PXRD pattern of Li2VFeO5 (a PBE+U-relaxed structure; Cu Kα, 1.54184 Å).
Peak positions follow from Bragg's law for the DFT cell and can differ from measured ones.

Main lines, low angle first (2θ = 10–90°):
2θ = 19.0°, intensity 61
2θ = 23.3°, intensity 47
2θ = 26.9°, intensity 100
2θ = 33.1°, intensity 86
2θ = 43.2°, intensity 25
2θ = 55.4°, intensity 28

Cell and atoms:
a = 6.6356 Å, b = 6.6356 Å, c = 4.6695 Å
α = 90.00°, β = 90.00°, γ = 90.00°
Positions (direct):
Li 0.0000 0.0000 0.0000
Li 0.0000 0.5000 0.0000
Li 0.5000 0.0000 0.0000
Li 0.5000 0.5000 0.0000
V 0.2500 0.2500 0.3716
V 0.7500 0.7500 0.6284
Fe 0.2500 0.7500 0.5000
Fe 0.7500 0.2500 0.5000
O 0.0231 0.7500 0.7453
O 0.2500 0.2500 0.7289
O 0.2500 0.5231 0.2547
O 0.2500 0.9769 0.2547
O 0.4769 0.7500 0.7453
O 0.5231 0.2500 0.2547
O 0.7500 0.0231 0.7453
O 0.7500 0.4769 0.7453
O 0.7500 0.7500 0.2711
O 0.9769 0.2500 0.2547

# 6
Structure and calculated PXRD pattern of Li4VFe3O8 (a PBE+U-relaxed structure; Cu Kα, 1.54184 Å).
Peak positions follow from Bragg's law for the DFT cell and can differ from measured ones.

Main lines, low angle first (2θ = 10–90°):
2θ = 20.7°, intensity 80
2θ = 20.9°, intensity 74
2θ = 22.1°, intensity 90
2θ = 22.2°, intensity 87
2θ = 31.5°, intensity 100
2θ = 35.3°, intensity 96

Cell and atoms:
a = 5.0789 Å, b = 5.6685 Å, c = 6.5295 Å
α = 89.44°, β = 89.64°, γ = 89.59°
Positions (direct):
Li 0.0000 0.0000 0.0000
Li 0.0007 0.4882 0.7440
Li 0.4963 0.3368 0.4941
Li 0.4977 0.8261 0.2506
V 0.5022 0.8242 0.7543
Fe 0.0015 0.9995 0.4922
Fe 0.4897 0.3344 0.0051
Fe 0.9929 0.4981 0.2452
O 0.0917 0.3375 0.0038
O 0.1025 0.8264 0.2570
O 0.1032 0.3203 0.4862
O 0.1306 0.8396 0.7346
O 0.5936 0.9871 0.9762
O 0.5979 0.5218 0.7408
O 0.6214 0.5001 0.2484
O 0.6209 0.9874 0.5174

# 7
Structure and calculated PXRD pattern of Li2VFe3O8 (a PBE+U-relaxed structure; Cu Kα, 1.54184 Å).
Peak positions follow from Bragg's law for the DFT cell and can differ from measured ones.

Main lines, low angle first (2θ = 10–90°):
2θ = 18.2°, intensity 100
2θ = 35.2°, intensity 48
2θ = 42.8°, intensity 57
2θ = 56.6°, intensity 21
2θ = 62.1°, intensity 34
2θ = 65.3°, intensity 14

Cell and atoms:
a = 8.4561 Å, b = 8.4561 Å, c = 8.4561 Å
α = 90.00°, β = 90.00°, γ = 90.00°
Positions (direct):
Li 0.0016 0.4984 0.5016
Li 0.2484 0.7484 0.7516
Li 0.2516 0.2516 0.2516
Li 0.4984 0.5016 0.0016
Li 0.5016 0.0016 0.4984
Li 0.7484 0.7516 0.2484
Li 0.7516 0.2484 0.7484
Li 0.9984 0.9984 0.9984
V 0.1250 0.8750 0.3750
V 0.3750 0.1250 0.8750
V 0.6250 0.6250 0.6250
V 0.8750 0.3750 0.1250
Fe 0.1252 0.1248 0.6250
Fe 0.1250 0.3748 0.8752
Fe 0.1248 0.6250 0.1252
Fe 0.3752 0.3750 0.6252
Fe 0.3750 0.6252 0.3752
Fe 0.3748 0.8752 0.1250
Fe 0.6250 0.1252 0.1248
Fe 0.6252 0.3752 0.3750
Fe 0.6248 0.8750 0.8748
Fe 0.8752 0.1250 0.3748
Fe 0.8748 0.6248 0.8750
Fe 0.8750 0.8748 0.6248
O 0.1013 0.3824 0.1201
O 0.1117 0.6117 0.8883
O 0.1176 0.8799 0.6013
O 0.1201 0.1013 0.3824
O 0.1299 0.8676 0.1487
O 0.1324 0.6487 0.3701
O 0.1383 0.3617 0.6383
O 0.1487 0.1299 0.8676
O 0.3513 0.8701 0.3676
O 0.3617 0.6383 0.1383
O 0.3676 0.3513 0.8701
O 0.3701 0.1324 0.6487
O 0.3799 0.8987 0.8824
O 0.3824 0.1201 0.1013
O 0.3883 0.3883 0.3883
O 0.3987 0.6176 0.6201
O 0.6013 0.1176 0.8799
O 0.6117 0.8883 0.1117
O 0.6176 0.6201 0.3987
O 0.6201 0.3987 0.6176
O 0.6299 0.6324 0.8513
O 0.6324 0.8513 0.6299
O 0.6383 0.1383 0.3617
O 0.6487 0.3701 0.1324
O 0.8513 0.6299 0.6324
O 0.8617 0.8617 0.8617
O 0.8676 0.1487 0.1299
O 0.8701 0.3676 0.3513
O 0.8799 0.6013 0.1176
O 0.8824 0.3799 0.8987
O 0.8883 0.1117 0.6117
O 0.8987 0.8824 0.3799

# 8
Structure and calculated PXRD pattern of Li4V3Fe5O16 (a PBE+U-relaxed structure; Cu Kα, 1.54184 Å).
Peak positions follow from Bragg's law for the DFT cell and can differ from measured ones.

Main lines, low angle first (2θ = 10–90°):
2θ = 18.5°, intensity 100
2θ = 19.5°, intensity 86
2θ = 19.6°, intensity 55
2θ = 35.4°, intensity 63
2θ = 36.2°, intensity 42
2θ = 62.8°, intensity 45

Cell and atoms:
a = 5.9170 Å, b = 5.9197 Å, c = 9.5974 Å
α = 89.13°, β = 89.23°, γ = 60.57°
Positions (direct):
Li 0.0000 0.0000 0.0000
Li 0.0091 0.0078 0.5006
Li 0.3336 0.3349 0.1036
Li 0.6582 0.6637 0.6012
V 0.1638 0.1763 0.7799
V 0.3425 0.8361 0.2807
V 0.8362 0.3432 0.2805
Fe 0.1707 0.6624 0.7843
Fe 0.3397 0.3375 0.5049
Fe 0.6590 0.1659 0.7824
Fe 0.6661 0.6705 0.0049
Fe 0.8336 0.8345 0.2850
O 0.0052 0.0066 0.1859
O 0.0060 0.0075 0.6869
O 0.0342 0.4646 0.6604
O 0.1699 0.1701 0.3907
O 0.1762 0.6818 0.3954
O 0.3199 0.3207 0.8933
O 0.3261 0.8512 0.8932
O 0.4612 0.0375 0.6596
O 0.4768 0.4777 0.6566
O 0.5119 0.9630 0.1606
O 0.5203 0.5217 0.1583
O 0.6643 0.6641 0.3933
O 0.6820 0.1761 0.3955
O 0.8377 0.8373 0.8983
O 0.8499 0.3271 0.8927
O 0.9616 0.5133 0.1604

# 9
Structure and calculated PXRD pattern of Li2V3FeO8 (a PBE+U-relaxed structure; Cu Kα, 1.54184 Å).
Peak positions follow from Bragg's law for the DFT cell and can differ from measured ones.

Main lines, low angle first (2θ = 10–90°):
2θ = 18.0°, intensity 29
2θ = 18.4°, intensity 100
2θ = 35.5°, intensity 35
2θ = 43.0°, intensity 78
2θ = 62.0°, intensity 24
2θ = 63.0°, intensity 23

Cell and atoms:
a = 5.9888 Å, b = 5.9888 Å, c = 5.9888 Å
α = 59.06°, β = 59.06°, γ = 59.06°
Positions (direct):
Li 0.1243 0.1243 0.1243
Li 0.8757 0.8757 0.8757
V 0.0000 0.5000 0.5000
V 0.5000 0.0000 0.5000
V 0.5000 0.5000 0.0000
Fe 0.5000 0.5000 0.5000
O 0.2578 0.2578 0.7158
O 0.2578 0.7158 0.2578
O 0.2610 0.2610 0.2610
O 0.2842 0.7422 0.7422
O 0.7158 0.2578 0.2578
O 0.7390 0.7390 0.7390
O 0.7422 0.2842 0.7422
O 0.7422 0.7422 0.2842

# 10
Structure and calculated PXRD pattern of Li4VFe3O8 (a PBE+U-relaxed structure; Cu Kα, 1.54184 Å).
Peak positions follow from Bragg's law for the DFT cell and can differ from measured ones.

Main lines, low angle first (2θ = 10–90°):
2θ = 18.1°, intensity 100
2θ = 35.1°, intensity 15
2θ = 35.3°, intensity 29
2θ = 42.6°, intensity 28
2θ = 42.8°, intensity 55
2θ = 62.0°, intensity 37

Cell and atoms:
a = 5.9852 Å, b = 5.9872 Å, c = 8.4437 Å
α = 90.30°, β = 90.19°, γ = 90.29°
Positions (direct):
Li 0.0000 0.0000 0.0000
Li 0.0000 0.5000 0.5000
Li 0.2495 0.2479 0.2494
Li 0.2503 0.7500 0.7466
Li 0.5000 0.0000 0.0000
Li 0.5000 0.5000 0.5000
Li 0.7497 0.2500 0.2534
Li 0.7505 0.7521 0.7506
V 0.0000 0.0000 0.5000
V 0.5000 0.5000 0.0000
Fe 0.0000 0.5000 0.0000
Fe 0.2505 0.7493 0.2528
Fe 0.2532 0.2515 0.7528
Fe 0.5000 0.0000 0.5000
Fe 0.7468 0.7485 0.2472
Fe 0.7495 0.2507 0.7472
O 0.0018 0.9884 0.2602
O 0.0026 0.4848 0.7603
O 0.2239 0.2323 0.5068
O 0.2329 0.7581 0.4922
O 0.2502 0.2642 0.9951
O 0.2534 0.7329 0.0074
O 0.4981 0.0185 0.7477
O 0.4986 0.5115 0.2464
O 0.5014 0.4885 0.7536
O 0.5019 0.9815 0.2523
O 0.7466 0.2671 0.9926
O 0.7498 0.7358 0.0049
O 0.7671 0.2419 0.5078
O 0.7761 0.7677 0.4932
O 0.9974 0.5152 0.2397
O 0.9982 0.0116 0.7398